This entry pairs a crystal structure of Pm4ZnSe3 with its simulated powder diffraction line list. Radiation: Cu Kα (weighted mean of Kα1 and Kα2). Structure: DFT lattice parameters and positions (GGA-PBE).
Neutral-atom scattering factors, no anomalous dispersion.

Atomic structure:
Lattice parameters (Å, degrees): 5.960 5.960 11.891 90.00 90.00 90.00
Space group I4/mmm (No. 139)
Inequivalent atoms, fractional coordinates:
Pm 0.000 0.000 0.248 (multiplicity 4)
Pm 0.000 0.500 0.000 (multiplicity 4)
Zn 0.000 0.000 0.500 (multiplicity 2)
Se 0.000 0.000 0.000 (multiplicity 2)
Se 0.000 0.500 0.250 (multiplicity 4)

Peak list (10 most intense, 2θ = 10–90°, low angle first)
2θ/deg, I/Imax, index
25.91, 18.1, 1 1 2
30.01, 100.0, 2 0 0
42.96, 74.7, 2 2 0
50.85, 9.0, 3 1 2
53.29, 26.3, 2 2 4
62.31, 8.2, 4 0 0
70.70, 22.4, 4 2 0
70.85, 11.1, 2 0 8
78.68, 16.7, 4 2 4
78.80, 8.3, 2 2 8


This entry pairs a crystal structure of Pm2SmTm12 with its simulated powder diffraction line list. Radiation: Cu Kα (weighted mean of Kα1 and Kα2). Structure: DFT lattice parameters and positions (GGA-PBE).
Neutral-atom scattering factors, no anomalous dispersion.

Atomic structure:
Lattice parameters (Å, degrees): 7.066 11.123 23.934 90.00 94.19 90.00
Space group C2/m (No. 12)
Inequivalent atoms, fractional coordinates:
Pm 0.070 0.000 0.281 (multiplicity 4)
Pm 0.070 0.500 0.282 (multiplicity 4)
Sm 0.249 0.000 0.000 (multiplicity 4)
Tm 0.017 0.251 0.067 (multiplicity 8)
Tm 0.034 0.000 0.136 (multiplicity 4)
Tm 0.034 0.500 0.137 (multiplicity 4)
Tm 0.111 0.251 0.445 (multiplicity 8)
Tm 0.142 0.000 0.572 (multiplicity 4)
Tm 0.144 0.500 0.571 (multiplicity 4)
Tm 0.168 0.250 0.669 (multiplicity 8)
Tm 0.202 0.250 0.808 (multiplicity 8)

Peak list (10 most intense, 2θ = 10–90°, low angle first)
2θ/deg, I/Imax, index
29.97, 24.8, 0 0 8
30.50, 24.6, 2 2 -2
30.76, 69.3, 0 2 7
31.43, 100.0, 2 2 2
32.19, 82.1, 0 4 0
32.72, 30.4, 2 0 -6
34.10, 38.9, 0 2 8
34.50, 52.1, 2 2 -5
46.53, 29.4, 2 4 5
62.26, 27.0, 4 4 -1


This entry pairs a crystal structure of Ca3Hg3Au with its simulated powder diffraction line list. Radiation: Cu Kα (weighted mean of Kα1 and Kα2). Structure: DFT lattice parameters and positions (GGA-PBE).
Neutral-atom scattering factors, no anomalous dispersion.

Atomic structure:
Lattice parameters (Å, degrees): 11.469 4.085 16.821 90.00 104.92 90.00
Space group C2/m (No. 12)
Inequivalent atoms, fractional coordinates:
Ca 0.008 0.000 0.381 (multiplicity 4)
Ca 0.113 0.000 0.925 (multiplicity 4)
Ca 0.225 0.000 0.232 (multiplicity 4)
Hg 0.004 0.500 0.775 (multiplicity 4)
Hg 0.113 0.500 0.077 (multiplicity 4)
Hg 0.146 0.500 0.531 (multiplicity 4)
Au 0.212 0.500 0.365 (multiplicity 4)

Peak list (10 most intense, 2θ = 10–90°, low angle first)
2θ/deg, I/Imax, index
15.51, 58.9, 2 0 -1
23.21, 100.0, 1 1 0
23.58, 64.2, 2 0 -4
29.73, 43.2, 1 1 3
30.61, 74.3, 1 1 -4
36.56, 99.4, 3 1 2
36.84, 80.4, 4 0 -5
38.76, 64.4, 0 0 7
44.35, 41.9, 0 2 0
58.98, 41.5, 4 2 -5


This entry pairs a crystal structure of Na5B7C3 with its simulated powder diffraction line list. Radiation: Cu Kα (weighted mean of Kα1 and Kα2). Structure: DFT lattice parameters and positions (GGA-PBE).
Neutral-atom scattering factors, no anomalous dispersion.

Atomic structure:
Lattice parameters (Å, degrees): 23.194 2.810 10.017 90.00 107.15 90.00
Space group C2/m (No. 12)
Inequivalent atoms, fractional coordinates:
Na 0.000 0.000 0.000 (multiplicity 2)
Na 0.000 0.500 0.500 (multiplicity 2)
Na 0.101 0.000 0.699 (multiplicity 4)
Na 0.103 0.500 0.201 (multiplicity 4)
Na 0.201 0.500 0.900 (multiplicity 4)
Na 0.202 0.000 0.401 (multiplicity 4)
B 0.016 0.500 0.780 (multiplicity 4)
B 0.028 0.000 0.305 (multiplicity 4)
B 0.081 0.500 0.909 (multiplicity 4)
B 0.121 0.500 0.488 (multiplicity 4)
B 0.125 0.000 0.996 (multiplicity 4)
B 0.192 0.000 0.133 (multiplicity 4)
B 0.214 0.000 0.676 (multiplicity 4)
C 0.089 0.000 0.424 (multiplicity 4)
C 0.183 0.500 0.612 (multiplicity 4)
C 0.223 0.500 0.196 (multiplicity 4)

Peak list (10 most intense, 2θ = 10–90°, low angle first)
2θ/deg, I/Imax, index
34.78, 12.4, 6 0 2
36.41, 16.6, 3 1 1
40.71, 24.2, 10 0 0
40.86, 24.1, 2 0 4
41.99, 38.5, 8 0 -4
42.22, 100.0, 1 1 -3
63.42, 16.4, 9 1 3
79.15, 8.0, 1 1 7
81.09, 9.5, 2 2 4
81.89, 8.0, 8 2 -4


This entry pairs a crystal structure of La3Ga9Pt2 with its simulated powder diffraction line list. Radiation: Cu Kα (weighted mean of Kα1 and Kα2). Structure: DFT lattice parameters and positions (GGA-PBE).
Neutral-atom scattering factors, no anomalous dispersion.

Atomic structure:
Lattice parameters (Å, degrees): 4.381 10.175 12.707 90.00 90.00 90.00
Space group Immm (No. 71)
Inequivalent atoms, fractional coordinates:
La 0.000 0.000 0.000 (multiplicity 2)
La 0.000 0.000 0.321 (multiplicity 4)
Ga 0.000 0.275 0.128 (multiplicity 8)
Ga 0.000 0.370 0.331 (multiplicity 8)
Ga 0.000 0.500 0.000 (multiplicity 2)
Pt 0.000 0.228 0.500 (multiplicity 4)

Peak list (10 most intense, 2θ = 10–90°, low angle first)
2θ/deg, I/Imax, index
13.94, 13.0, 0 0 2
22.39, 13.1, 0 2 2
33.41, 14.9, 1 3 0
33.86, 17.9, 0 3 3
34.32, 100.0, 1 2 3
41.06, 15.6, 1 0 5
41.22, 29.8, 2 0 0
42.69, 17.2, 0 0 6
44.92, 13.4, 1 2 5
62.72, 17.9, 1 6 3


This entry pairs a crystal structure of Ac2PrDyP4 with its simulated powder diffraction line list. Radiation: Cu Kα (weighted mean of Kα1 and Kα2). Structure: DFT lattice parameters and positions (GGA-PBE).
Neutral-atom scattering factors, no anomalous dispersion.

Atomic structure:
Lattice parameters (Å, degrees): 7.404 4.279 7.422 90.00 109.40 90.00
Space group P2/m (No. 10)
Inequivalent atoms, fractional coordinates:
Ac 0.000 0.000 0.000 (multiplicity 1)
Ac 0.500 0.500 0.000 (multiplicity 1)
Pr 0.000 0.500 0.500 (multiplicity 1)
Dy 0.500 0.000 0.500 (multiplicity 1)
P 0.250 0.000 0.734 (multiplicity 2)
P 0.261 0.500 0.269 (multiplicity 2)

Peak list (10 most intense, 2θ = 10–90°, low angle first)
2θ/deg, I/Imax, index
25.49, 96.4, 0 0 2
29.51, 100.0, 1 1 1
42.23, 75.2, 0 2 0
49.97, 46.1, 1 1 3
52.39, 20.1, 2 2 -2
61.25, 12.5, 2 2 2
69.41, 22.9, 1 3 1
69.51, 11.6, 4 2 0
77.24, 17.3, 3 3 -1
82.88, 11.1, 4 0 -6


This entry pairs a crystal structure of RbPrSI with its simulated powder diffraction line list. Radiation: Cu Kα (weighted mean of Kα1 and Kα2). Structure: DFT lattice parameters and positions (GGA-PBE).
Neutral-atom scattering factors, no anomalous dispersion.

Atomic structure:
Lattice parameters (Å, degrees): 4.2884 4.2884 25.9449 90.00 90.00 120.00
Space group R3m (No. 160, hexagonal axes)
Inequivalent atoms, fractional coordinates:
Rb 0.0000 0.0000 0.0000 (multiplicity 3)
Pr 0.0000 0.0000 0.1964 (multiplicity 3)
S 0.0000 0.0000 0.5866 (multiplicity 3)
I 0.0000 0.0000 0.7780 (multiplicity 3)

Peak list (10 most intense, 2θ = 10–90°, low angle first)
2θ/deg, I/Imax, index
10.23, 24.7, 0 0 3
24.21, 19.1, 1 0 1
24.94, 24.0, 0 1 2
27.68, 33.2, 1 0 4
29.58, 100.0, 0 1 5
34.18, 18.5, 1 0 7
42.14, 40.6, 1 1 0
42.50, 27.9, 1 0 10
52.33, 19.6, 2 0 5
69.35, 16.7, 1 2 5


This entry pairs a crystal structure of RbTlCdAg with its simulated powder diffraction line list. Radiation: Cu Kα (weighted mean of Kα1 and Kα2). Structure: DFT lattice parameters and positions (GGA-PBE).
Neutral-atom scattering factors, no anomalous dispersion.

Atomic structure:
Lattice parameters (Å, degrees): 4.9844 4.9844 19.3657 90.00 90.00 120.00
Space group R3m (No. 160, hexagonal axes)
Inequivalent atoms, fractional coordinates:
Rb 0.0000 0.0000 0.0000 (multiplicity 3)
Tl 0.0000 0.0000 0.1991 (multiplicity 3)
Cd 0.0000 0.0000 0.4720 (multiplicity 3)
Ag 0.0000 0.0000 0.8074 (multiplicity 3)

Peak list (10 most intense, 2θ = 10–90°, low angle first)
2θ/deg, I/Imax, index
13.72, 98.0, 0 0 3
21.09, 23.7, 1 0 1
27.68, 83.1, 1 0 4
31.02, 65.6, 0 1 5
36.04, 100.0, 1 1 0
38.71, 62.8, 1 1 3
46.02, 44.1, 0 2 4
48.27, 19.1, 2 0 5
51.74, 18.5, 1 0 10
61.69, 18.2, 1 2 5